1.
La3AlSn: computed X-ray diffraction stick pattern (λ = 1.5418 Å (Cu Kα)), based on the PBE geometry in Alexandria.

```
La3AlSn
1.0
8.405 -2.180 0.000
8.405 2.180 0.000
-0.905 0.000 8.894
La Al Sn
6 2 2
direct
0.046 0.046 0.178
0.237 0.237 0.815
0.405 0.405 0.445
0.595 0.595 0.555
0.763 0.763 0.185
0.954 0.954 0.822
0.214 0.214 0.432
0.786 0.786 0.568
0.395 0.395 0.075
0.605 0.605 0.925
```

Top 6 peaks for 10 to 90 degrees two-theta, by angle:
two_theta	I/Imax
27.25	100
28.44	43
28.79	62
30.80	48
33.78	54
41.42	49

***

2.
Pa4TlS8: computed X-ray diffraction stick pattern (λ = 1.5418 Å (Cu Kα)), based on the PBE geometry in Alexandria.

```
Pa4TlS8
1.0
7.924 -2.109 0.000
7.924 2.109 0.000
-6.051 0.000 10.015
Pa Tl S
4 1 8
direct
0.128 0.128 0.456
0.345 0.345 0.186
0.655 0.655 0.814
0.872 0.872 0.544
0.500 0.500 0.000
0.079 0.079 0.648
0.155 0.155 0.976
0.262 0.262 0.368
0.451 0.451 0.716
0.549 0.549 0.284
0.738 0.738 0.632
0.845 0.845 0.024
0.921 0.921 0.352
```

Top 6 peaks for 10 to 90 degrees two-theta, by angle:
two_theta	I/Imax
22.81	38
22.93	32
25.06	100
28.12	43
37.42	37
39.34	44